Starting from a PBE+U-relaxed structure, the powder X-ray diffraction pattern of Li3Mn4B4O12 was calculated for Cu Kα (λ = 1.5418 Å).
Neutral-atom scattering factors, no anomalous dispersion.

Main lines, sorted by position (2θ = 10–80°):
- 2θ 20.29, d 4.376, intensity 59.2, hkl 1 0 1
- 2θ 20.86, d 4.259, intensity 17.3, hkl 1 0 -1
- 2θ 22.11, d 4.020, intensity 31.4, hkl 1 1 0
- 2θ 22.69, d 3.919, intensity 45.7, hkl 0 0 2
- 2θ 34.03, d 2.635, intensity 100.0, hkl 0 2 2
- 2θ 34.70, d 2.586, intensity 15.5, hkl 2 0 0
- 2θ 37.91, d 2.373, intensity 16.7, hkl 2 1 1
- 2θ 40.13, d 2.247, intensity 16.7, hkl 2 1 -1
- 2θ 40.61, d 2.222, intensity 37.9, hkl 0 2 -2
- 2θ 50.82, d 1.796, intensity 15.2, hkl 0 2 4

Atomic structure:
Cell: 5.179 6.181 7.967 Å, 79.85 87.88 87.35°
Sites, in units of the cell vectors:
Li 0.000 0.000 0.000
Li 0.177 0.921 0.699
Li 0.515 0.487 0.498
Mn 0.189 0.224 0.348
Mn 0.488 0.211 0.856
Mn 0.683 0.687 0.873
Mn 0.984 0.732 0.350
B 0.189 0.572 0.032
B 0.492 0.881 0.194
B 0.681 0.035 0.531
B 0.986 0.375 0.680
O 0.066 0.520 0.195
O 0.077 0.725 0.906
O 0.096 0.205 0.795
O 0.125 0.471 0.534
O 0.228 0.950 0.204
O 0.421 0.465 0.007
O 0.560 0.949 0.685
O 0.571 0.201 0.419
O 0.598 0.742 0.330
O 0.630 0.951 0.044
O 0.730 0.445 0.705
O 0.945 0.961 0.498